Computed powder X-ray diffraction pattern
Compound: CeEr5Tl3
Radiation: Cu Kα X-rays
Structure: DFT lattice parameters and positions (GGA-PBE)
Intensities are scaled so that the largest is 100.

Structural model:
```
CeEr5Tl3
1.0
8.444 -4.598 0.000
8.444 4.598 0.000
0.000 0.000 6.638
Ce Er Tl
2 10 6
direct
0.000 0.000 0.000
0.000 0.000 0.500
0.019 0.335 0.250
0.330 0.670 0.750
0.335 0.019 0.750
0.347 0.347 0.000
0.347 0.347 0.500
0.653 0.653 0.000
0.653 0.653 0.500
0.665 0.981 0.250
0.670 0.330 0.250
0.981 0.665 0.750
0.010 0.659 0.250
0.334 0.666 0.250
0.341 0.990 0.250
0.659 0.010 0.750
0.666 0.334 0.750
0.990 0.341 0.750
```

Peak list (10 most intense, 5° ≤ 2θ ≤ 70°, sorted by position)
two_theta	Rel. int.
31.79	38.1
32.80	60.5
33.28	100.0
43.27	11.0
46.70	21.8
48.15	10.2
57.59	12.3
58.86	10.1
59.79	11.5
66.15	19.4

---

Computed powder X-ray diffraction pattern
Compound: Sr3Ga
Radiation: Cu Kα X-rays
Structure: DFT lattice parameters and positions (GGA-PBE)
Intensities are scaled so that the largest is 100.

Structural model:
```
Sr3Ga
1.0
13.878 0.000 0.000
0.000 13.878 0.000
0.000 0.000 6.867
Sr Ga
24 8
direct
0.026 0.919 0.229
0.081 0.526 0.729
0.118 0.290 0.023
0.132 0.833 0.727
0.167 0.632 0.227
0.210 0.118 0.477
0.290 0.382 0.477
0.333 0.868 0.227
0.368 0.667 0.727
0.382 0.210 0.023
0.419 0.974 0.729
0.474 0.581 0.229
0.526 0.419 0.771
0.581 0.026 0.271
0.618 0.790 0.977
0.632 0.333 0.273
0.667 0.132 0.773
0.710 0.618 0.523
0.790 0.882 0.523
0.833 0.368 0.773
0.868 0.167 0.273
0.882 0.710 0.977
0.919 0.474 0.271
0.974 0.081 0.771
0.043 0.300 0.525
0.200 0.043 0.975
0.300 0.457 0.975
0.457 0.200 0.525
0.543 0.800 0.475
0.700 0.543 0.025
0.800 0.957 0.025
0.957 0.700 0.475
```

Peak list (10 most intense, 5° ≤ 2θ ≤ 70°, sorted by position)
two_theta	Rel. int.
26.55	100.0
27.26	31.8
27.52	72.6
28.78	78.7
29.56	74.7
31.64	24.0
31.81	28.4
32.91	39.7
33.13	67.6
53.80	25.7

---

Computed powder X-ray diffraction pattern
Compound: Tl4Pb2I9
Radiation: Cu Kα X-rays
Structure: DFT lattice parameters and positions (GGA-PBE)
Intensities are scaled so that the largest is 100.

Structural model:
```
Tl4Pb2I9
1.0
8.326 0.000 0.000
4.162 7.211 0.000
0.015 0.003 23.586
Tl Pb I
8 4 18
direct
0.167 0.166 0.325
0.167 0.167 0.010
0.167 0.167 0.510
0.167 0.167 0.826
0.833 0.833 0.174
0.833 0.833 0.490
0.833 0.833 0.990
0.833 0.834 0.675
0.500 0.500 0.158
0.500 0.500 0.342
0.500 0.500 0.658
0.500 0.500 0.842
0.166 0.514 0.586
0.167 0.820 0.086
0.180 0.487 0.914
0.181 0.833 0.414
0.200 0.501 0.250
0.202 0.800 0.750
0.486 0.180 0.414
0.487 0.834 0.914
0.499 0.202 0.750
0.501 0.798 0.250
0.513 0.166 0.086
0.514 0.820 0.586
0.798 0.200 0.250
0.800 0.499 0.750
0.819 0.167 0.586
0.820 0.513 0.086
0.833 0.180 0.914
0.834 0.486 0.414
```

Peak list (10 most intense, 5° ≤ 2θ ≤ 70°, sorted by position)
two_theta	Rel. int.
14.40	33.4
19.45	31.3
21.34	18.5
24.19	62.7
29.03	18.4
31.30	100.0
36.31	17.7
37.41	55.9
49.55	27.4
60.88	20.9